The following is a simulated powder XRD pattern of CoO2. It was derived from a cell relaxed with GGA+U, using λ = 1.5418 Å (Cu Kα).
Intensities are scaled so that the largest is 100.

Crystal structure
Cell lengths 6.8675, 6.8675, 6.8675 Å; angles 92.51, 92.51, 155.84 degrees
Positions (direct):
Co: 0.1503 0.6659 0.8162
Co: 0.3341 0.1503 0.4843
Co: 0.6659 0.8497 0.5157
Co: 0.8497 0.3341 0.1838
O: 0.0409 0.3354 0.3763
O: 0.2969 0.3457 0.6426
O: 0.3354 0.9591 0.2944
O: 0.3457 0.7031 0.0488
O: 0.6543 0.2969 0.9512
O: 0.6646 0.0409 0.7056
O: 0.7031 0.6543 0.3574
O: 0.9591 0.6646 0.6237

The 10 most intense peaks (2θ = 10–90°), by intensity:
2θ = 13.18°, I 100; 2θ = 18.69°, I 78; 2θ = 37.79°, I 74; 2θ = 29.75°, I 52; 2θ = 61.71°, I 41; 2θ = 50.79°, I 35; 2θ = 71.60°, I 28; 2θ = 37.89°, I 23; 2θ = 58.27°, I 22; 2θ = 42.50°, I 18